CsMg2Cd2As3: simulated powder X-ray diffraction pattern (CuKα), based on DFT lattice parameters and positions (PBE).
Kinematic intensities with the Lorentz-polarization factor, no thermal factor.

Cell and atoms:
```
CsMg2Cd2As3
1.0
4.4960 0.0000 0.0000
0.0000 4.5180 0.0000
0.0000 0.0000 10.9205
Cs Mg Cd As
1 2 2 3
Direct
0.0000 0.0000 0.0000 Cs
0.5000 0.0000 0.3404 Mg
0.5000 0.0000 0.6596 Mg
0.0000 0.5000 0.3397 Cd
0.0000 0.5000 0.6603 Cd
0.0000 0.0000 0.5000 As
0.5000 0.5000 0.2062 As
0.5000 0.5000 0.7938 As
```

Most intense lines, 2θ from 5° to 70°, low angle first:
index	d/Å	I_rel
1 0 0	4.501	26
0 1 2	3.478	100
1 1 1	3.059	35
1 0 3	2.829	28
1 1 3	2.398	35
1 1 4	2.073	40